Diffraction record for LaLuO3. The powder diffraction line list is theoretical, not measured: it uses DFT lattice parameters and positions (GGA-PBE) and Cu Kα (weighted mean of Kα1 and Kα2).

The 10 most intense peaks (10 to 90 degrees two-theta), sorted by position:
2θ (°)	d [Å]	Rel. int.
29.71	3.007	23
30.19	2.960	100
30.74	2.909	23
43.24	2.092	33
53.03	1.727	16
53.29	1.719	11
53.93	1.700	11
54.31	1.689	23
62.78	1.480	13
71.17	1.325	10

Structural model:
Cell lengths 6.0145, 8.3808, 5.8180 Å; angles 90.00, 90.00, 90.00 degrees
Atoms (fractional coordinates):
La1 0.0488 0.2500 0.0137
La2 0.4512 0.7500 0.5137
La3 0.5488 0.2500 0.4863
La4 0.9512 0.7500 0.9863
Lu1 0.0000 0.0000 0.5000
Lu2 0.0000 0.5000 0.5000
Lu3 0.5000 0.0000 0.0000
Lu4 0.5000 0.5000 0.0000
O1 0.0526 0.7500 0.3802
O2 0.1949 0.5630 0.8068
O3 0.1949 0.9370 0.8068
O4 0.3051 0.0630 0.3068
O5 0.3051 0.4370 0.3068
O6 0.4474 0.2500 0.8802
O7 0.5526 0.7500 0.1198
O8 0.6949 0.5630 0.6932
O9 0.6949 0.9370 0.6932
O10 0.8051 0.0630 0.1932
O11 0.8051 0.4370 0.1932
O12 0.9474 0.2500 0.6198

Diffraction record for La3LuSe6. The powder diffraction line list is theoretical, not measured: it uses DFT lattice parameters and positions (GGA-PBE) and Cu Kα (weighted mean of Kα1 and Kα2).

The 10 most intense peaks (10 to 90 degrees two-theta), sorted by position:
2θ (°)	d [Å]	Rel. int.
23.33	3.812	35
24.18	3.681	31
26.03	3.423	28
29.87	2.992	32
31.74	2.819	100
32.99	2.716	36
37.49	2.399	30
41.52	2.175	34
42.51	2.127	22
43.04	2.102	45

Structural model:
Cell lengths 14.8081, 17.7869, 4.2036 Å; angles 90.00, 90.00, 90.00 degrees
Atoms (fractional coordinates):
La1 0.0490 0.2185 0.0000
La2 0.1807 0.6511 0.0000
La3 0.2485 0.9000 0.5000
La4 0.2515 0.4000 0.0000
La5 0.3193 0.1511 0.5000
La6 0.4510 0.7185 0.5000
La7 0.5490 0.2815 0.5000
La8 0.6807 0.8489 0.5000
La9 0.7485 0.6000 0.0000
La10 0.7515 0.1000 0.5000
La11 0.8193 0.3489 0.0000
La12 0.9510 0.7815 0.0000
Lu1 0.0000 0.0000 0.5000
Lu2 0.0000 0.5000 0.5000
Lu3 0.5000 0.0000 0.0000
Lu4 0.5000 0.5000 0.0000
Se1 0.0233 0.3950 0.0000
Se2 0.0909 0.9217 0.0000
Se3 0.1045 0.7545 0.5000
Se4 0.1253 0.1102 0.5000
Se5 0.1865 0.2899 0.5000
Se6 0.1875 0.5234 0.5000
Se7 0.3125 0.0234 0.0000
Se8 0.3135 0.7899 0.0000
Se9 0.3747 0.6102 0.0000
Se10 0.3955 0.2545 0.0000
Se11 0.4091 0.4217 0.5000
Se12 0.4767 0.8950 0.5000
Se13 0.5233 0.1050 0.5000
Se14 0.5909 0.5783 0.5000
Se15 0.6045 0.7455 0.0000
Se16 0.6253 0.3898 0.0000
Se17 0.6865 0.2101 0.0000
Se18 0.6875 0.9766 0.0000
Se19 0.8125 0.4766 0.5000
Se20 0.8135 0.7101 0.5000
Se21 0.8747 0.8898 0.5000
Se22 0.8955 0.2455 0.5000
Se23 0.9091 0.0783 0.0000
Se24 0.9767 0.6050 0.0000

Diffraction record for LaMg12. The powder diffraction line list is theoretical, not measured: it uses DFT lattice parameters and positions (GGA-PBE) and Cu Kα (weighted mean of Kα1 and Kα2).

The 10 most intense peaks (10 to 90 degrees two-theta), sorted by position:
2θ (°)	d [Å]	Rel. int.
12.08	7.329	30
17.21	5.151	28
24.35	3.655	55
27.21	3.277	19
29.93	2.986	38
34.66	2.588	100
34.83	2.576	44
56.46	1.630	16
62.08	1.495	15
62.18	1.493	13

Structural model:
Cell lengths 7.9068, 7.9068, 7.9068 Å; angles 98.10, 98.10, 135.90 degrees
Atoms (fractional coordinates):
La1 0.0000 0.0000 0.0000
Mg1 0.0000 0.0000 0.5000
Mg2 0.0000 0.3526 0.3526
Mg3 0.0000 0.5000 0.0000
Mg4 0.0000 0.6474 0.6474
Mg5 0.2819 0.5000 0.7819
Mg6 0.3526 0.0000 0.3526
Mg7 0.5000 0.0000 0.0000
Mg8 0.5000 0.2819 0.7819
Mg9 0.5000 0.5000 0.5000
Mg10 0.5000 0.7181 0.2181
Mg11 0.6474 0.0000 0.6474
Mg12 0.7181 0.5000 0.2181

Diffraction record for La4Mg. The powder diffraction line list is theoretical, not measured: it uses DFT lattice parameters and positions (GGA-PBE) and Cu Kα (weighted mean of Kα1 and Kα2).

The 10 most intense peaks (10 to 90 degrees two-theta), sorted by position:
2θ (°)	d [Å]	Rel. int.
13.13	6.740	20
26.45	3.370	100
30.63	2.919	42
33.46	2.678	23
40.13	2.247	38
43.87	2.064	28
51.95	1.760	22
56.27	1.635	20
60.96	1.520	14
86.16	1.129	13

Structural model:
Cell lengths 8.2553, 8.2553, 8.2553 Å; angles 60.00, 60.00, 60.00 degrees
Atoms (fractional coordinates):
La1 0.1823 0.7726 0.7726
La2 0.2274 0.2274 0.2274
La3 0.2274 0.2274 0.8177
La4 0.2274 0.8177 0.2274
La5 0.7726 0.1823 0.7726
La6 0.7726 0.7726 0.1823
La7 0.7726 0.7726 0.7726
La8 0.8177 0.2274 0.2274
Mg1 0.3750 0.3750 0.3750
Mg2 0.6250 0.6250 0.6250

Diffraction record for La3Mg. The powder diffraction line list is theoretical, not measured: it uses DFT lattice parameters and positions (GGA-PBE) and Cu Kα (weighted mean of Kα1 and Kα2).

The 10 most intense peaks (10 to 90 degrees two-theta), sorted by position:
2θ (°)	d [Å]	Rel. int.
17.33	5.117	19
24.61	3.618	16
30.25	2.954	100
35.08	2.558	51
39.38	2.288	10
50.45	1.809	36
59.96	1.543	42
62.92	1.477	12
82.10	1.174	17
84.72	1.144	16

Structural model:
Cell lengths 5.1167, 5.1167, 5.1167 Å; angles 90.00, 90.00, 90.00 degrees
Atoms (fractional coordinates):
La1 0.0000 0.0000 0.5000
La2 0.0000 0.5000 0.0000
La3 0.5000 0.0000 0.0000
Mg1 0.5000 0.5000 0.5000

Diffraction record for LaMg2. The powder diffraction line list is theoretical, not measured: it uses DFT lattice parameters and positions (GGA-PBE) and Cu Kα (weighted mean of Kα1 and Kα2).

The 10 most intense peaks (10 to 90 degrees two-theta), sorted by position:
2θ (°)	d [Å]	Rel. int.
16.56	5.354	40
16.83	5.269	24
23.69	3.755	31
29.36	3.042	46
33.47	2.677	21
33.89	2.645	100
45.12	2.010	28
52.08	1.756	17
60.11	1.539	19
63.34	1.468	18

Structural model:
Cell lengths 6.0836, 6.0836, 5.3542 Å; angles 90.00, 90.00, 120.00 degrees
Atoms (fractional coordinates):
La1 0.3333 0.6667 0.0000
La2 0.6667 0.3333 0.0000
Mg1 0.0000 0.0000 0.0000
Mg2 0.0000 0.6997 0.5000
Mg3 0.3003 0.3003 0.5000
Mg4 0.6997 0.0000 0.5000

- Number 1 is which compound?
  LaLuO3

- What is the formula in the third record?
  LaMg12